[1]
Starting from a structure optimized by DFT (PBE+U), the X-ray powder pattern of CaV2O4 was calculated for CuKα.
Lines closer than 0.1° are merged.

Structural model:
a = 6.371 Å, b = 6.371 Å, c = 6.371 Å
α = 122.03°, β = 122.03°, γ = 86.52°
Fractional coordinates of all 14 atoms:
Ca 0.375 0.625 0.750
Ca 0.625 0.375 0.250
V 0.000 0.000 0.000
V 0.000 0.000 0.500
V 0.000 0.500 0.000
V 0.500 0.000 0.500
O 0.197 0.229 0.967
O 0.229 0.197 0.467
O 0.229 0.762 0.033
O 0.238 0.771 0.467
O 0.762 0.229 0.533
O 0.771 0.238 0.967
O 0.771 0.803 0.533
O 0.803 0.771 0.033

Top 8 peaks for 2θ = 15–90°, low angle first:
17.25°, 5.140 Å, I = 49
28.06°, 3.180 Å, I = 30
32.37°, 2.765 Å, I = 51
33.87°, 2.647 Å, I = 100
41.36°, 2.183 Å, I = 32
54.49°, 1.684 Å, I = 38
58.02°, 1.590 Å, I = 54
59.93°, 1.544 Å, I = 25

[2]
Starting from a structure optimized by DFT (PBE+U), the X-ray powder pattern of EuMoClO4 was calculated for CuKα.
Lines closer than 0.1° are merged.

Structural model:
a = 6.501 Å, b = 6.501 Å, c = 6.982 Å
α = 103.57°, β = 103.57°, γ = 70.55°
Fractional coordinates of all 14 atoms:
Eu 0.225 0.225 0.116
Eu 0.775 0.775 0.884
Mo 0.364 0.364 0.733
Mo 0.636 0.636 0.267
Cl 0.011 0.011 0.762
Cl 0.989 0.989 0.238
O 0.117 0.491 0.847
O 0.294 0.294 0.470
O 0.461 0.461 0.206
O 0.491 0.117 0.847
O 0.509 0.883 0.153
O 0.539 0.539 0.794
O 0.706 0.706 0.530
O 0.883 0.509 0.153

Top 8 peaks for 2θ = 15–90°, low angle first:
17.45°, 5.083 Å, I = 50
23.70°, 3.755 Å, I = 100
24.86°, 3.581 Å, I = 53
28.21°, 3.163 Å, I = 52
28.48°, 3.134 Å, I = 58
33.96°, 2.640 Å, I = 41
34.61°, 2.591 Å, I = 26
44.35°, 2.043 Å, I = 26

[3]
Starting from a structure optimized by DFT (PBE+U), the X-ray powder pattern of Fe2Si2SbO9 was calculated for CuKα.
Lines closer than 0.1° are merged.

Structural model:
a = 5.247 Å, b = 5.247 Å, c = 8.056 Å
α = 96.18°, β = 96.18°, γ = 119.18°
Fractional coordinates of all 14 atoms:
Fe 0.163 0.837 0.000
Fe 0.837 0.163 0.000
Si 0.041 0.381 0.649
Si 0.381 0.041 0.649
Sb 0.586 0.586 0.250
O 0.089 0.460 0.856
O 0.187 0.685 0.568
O 0.190 0.190 0.581
O 0.210 0.210 0.144
O 0.460 0.089 0.856
O 0.539 0.885 0.139
O 0.685 0.187 0.568
O 0.849 0.849 0.870
O 0.885 0.539 0.139

Top 8 peaks for 2θ = 15–90°, low angle first:
20.85°, 4.261 Å, I = 27
22.65°, 3.925 Å, I = 82
24.52°, 3.630 Å, I = 100
27.21°, 3.278 Å, I = 80
30.09°, 2.970 Å, I = 42
34.00°, 2.637 Å, I = 26
34.39°, 2.608 Å, I = 46
52.01°, 1.758 Å, I = 26

[4]
Starting from a structure optimized by DFT (PBE+U), the X-ray powder pattern of K2MgFe4P6O16F12 was calculated for CuKα.
Lines closer than 0.1° are merged.

Structural model:
a = 7.396 Å, b = 7.890 Å, c = 10.690 Å
α = 81.31°, β = 70.62°, γ = 88.78°
Fractional coordinates of all 41 atoms:
K 0.000 0.000 0.000
K 0.444 0.866 0.560
Mg 0.601 0.205 0.725
Fe 0.231 0.949 0.286
Fe 0.575 0.612 0.130
Fe 0.787 0.499 0.787
Fe 0.916 0.279 0.439
P 0.210 0.362 0.616
P 0.313 0.508 0.943
P 0.540 0.006 0.975
P 0.572 0.219 0.300
P 0.903 0.675 0.277
P 0.924 0.897 0.616
O 0.051 0.823 0.227
O 0.069 0.411 0.740
O 0.089 0.871 0.490
O 0.161 0.291 0.512
O 0.363 0.578 0.049
O 0.365 0.047 0.086
O 0.429 0.069 0.332
O 0.462 0.431 0.834
O 0.508 0.390 0.245
O 0.639 0.842 0.000
O 0.648 0.223 0.415
O 0.679 0.153 0.891
O 0.794 0.743 0.689
O 0.802 0.672 0.174
O 0.805 0.058 0.602
O 0.974 0.508 0.326
F 0.036 0.937 0.717
F 0.066 0.139 0.293
F 0.138 0.380 0.007
F 0.218 0.657 0.872
F 0.347 0.221 0.670
F 0.369 0.509 0.553
F 0.400 0.743 0.267
F 0.440 0.981 0.854
F 0.741 0.732 0.405
F 0.748 0.170 0.177
F 0.748 0.509 0.977
F 0.764 0.396 0.624

Top 8 peaks for 2θ = 15–90°, low angle first:
15.46°, 5.730 Å, I = 43
25.58°, 3.482 Å, I = 23
25.80°, 3.454 Å, I = 100
26.36°, 3.381 Å, I = 88
26.49°, 3.364 Å, I = 26
27.51°, 3.242 Å, I = 74
27.68°, 3.223 Å, I = 22
48.00°, 1.895 Å, I = 21

> Which formula does entry 3 have?

Fe2Si2SbO9